[1]
# MgTlSnHg
Theoretical powder XRD pattern, Cu Kα. Input: DFT lattice parameters and positions (PBE).

Crystal structure
Lattice parameters (Å, degrees): 5.319 5.319 5.319 60.00 60.00 60.00
Sites, in units of the cell vectors:
1 Mg 0.000 0.000 0.000
2 Tl 0.500 0.500 0.500
3 Sn 0.750 0.750 0.750
4 Hg 0.250 0.250 0.250

Most intense lines, 2θ = 10–90°, by angle:
20.45 deg, intensity 27; 33.70 deg, intensity 100; 39.74 deg, intensity 16; 48.40 deg, intensity 18; 53.06 deg, intensity 7; 60.27 deg, intensity 39; 64.35 deg, intensity 5; 70.86 deg, intensity 12; 74.64 deg, intensity 5; 80.80 deg, intensity 17


[2]
# ZrRuBr2
Theoretical powder XRD pattern, Cu Kα. Input: DFT lattice parameters and positions (PBE).

Crystal structure
Lattice parameters (Å, degrees): 3.796 3.769 7.673 90.00 101.82 90.00
Sites, in units of the cell vectors:
1 Zr 0.000 0.000 0.000
2 Ru 0.592 0.500 0.055
3 Br 0.210 0.500 0.745
4 Br 0.552 0.000 0.305

Most intense lines, 2θ = 10–90°, by angle:
11.78 deg, intensity 100; 26.46 deg, intensity 18; 28.91 deg, intensity 25; 34.25 deg, intensity 48; 35.87 deg, intensity 17; 38.66 deg, intensity 34; 43.39 deg, intensity 16; 44.68 deg, intensity 26; 48.29 deg, intensity 14; 55.17 deg, intensity 13


[3]
# RbSe
Theoretical powder XRD pattern, Cu Kα. Input: DFT lattice parameters and positions (PBE).

Crystal structure
Lattice parameters (Å, degrees): 9.125 7.953 6.930 75.28 57.45 47.27
Sites, in units of the cell vectors:
1 Rb 0.098 0.652 0.098
2 Rb 0.348 0.902 0.348
3 Rb 0.652 0.098 0.652
4 Rb 0.902 0.348 0.902
5 Se 0.212 0.538 0.538
6 Se 0.462 0.788 0.788
7 Se 0.538 0.212 0.212
8 Se 0.788 0.462 0.462

Most intense lines, 2θ = 10–90°, by angle:
25.38 deg, intensity 100; 26.60 deg, intensity 45; 28.34 deg, intensity 76; 30.65 deg, intensity 48; 32.23 deg, intensity 27; 37.42 deg, intensity 23; 38.41 deg, intensity 66; 40.21 deg, intensity 45; 53.04 deg, intensity 36; 54.22 deg, intensity 18


[4]
# Sm2Ho5Sc4
Theoretical powder XRD pattern, Cu Kα. Input: DFT lattice parameters and positions (PBE).

Crystal structure
Lattice parameters (Å, degrees): 8.525 8.525 8.525 142.57 116.92 75.71
Sites, in units of the cell vectors:
1 Sm 0.120 0.120 0.000
2 Sm 0.880 0.880 0.000
3 Ho 0.086 0.754 0.332
4 Ho 0.422 0.754 0.668
5 Ho 0.500 0.000 0.500
6 Ho 0.578 0.246 0.332
7 Ho 0.914 0.246 0.668
8 Sc 0.197 0.500 0.697
9 Sc 0.359 0.359 0.000
10 Sc 0.641 0.641 0.000
11 Sc 0.803 0.500 0.303

Most intense lines, 2θ = 10–90°, by angle:
13.15 deg, intensity 42; 23.94 deg, intensity 25; 26.62 deg, intensity 32; 32.74 deg, intensity 56; 32.82 deg, intensity 100; 33.35 deg, intensity 23; 34.33 deg, intensity 51; 36.91 deg, intensity 50; 58.48 deg, intensity 19; 61.20 deg, intensity 31


[5]
# Pm2PrSmEr5
Theoretical powder XRD pattern, Cu Kα. Input: DFT lattice parameters and positions (PBE).

Crystal structure
Lattice parameters (Å, degrees): 9.869 9.869 9.869 127.53 127.53 77.39
Sites, in units of the cell vectors:
1 Pm 0.116 0.616 0.733
2 Pm 0.384 0.116 0.500
3 Pm 0.616 0.884 0.500
4 Pm 0.884 0.384 0.267
5 Pr 0.250 0.250 0.000
6 Pr 0.750 0.750 0.000
7 Sm 0.250 0.750 0.500
8 Sm 0.750 0.250 0.500
9 Er 0.000 0.000 0.000
10 Er 0.073 0.155 0.500
11 Er 0.155 0.655 0.082
12 Er 0.345 0.427 0.500
13 Er 0.427 0.927 0.082
14 Er 0.500 0.500 0.000
15 Er 0.573 0.073 0.918
16 Er 0.655 0.573 0.500
17 Er 0.845 0.345 0.918
18 Er 0.927 0.845 0.500

Most intense lines, 2θ = 10–90°, by angle:
28.73 deg, intensity 48; 28.94 deg, intensity 51; 30.97 deg, intensity 100; 32.45 deg, intensity 13; 37.18 deg, intensity 12; 37.62 deg, intensity 17; 43.13 deg, intensity 20; 47.20 deg, intensity 12; 52.58 deg, intensity 21; 56.32 deg, intensity 13


[6]
# PuCdAgO4
Theoretical powder XRD pattern, Cu Kα. Input: DFT lattice parameters and positions (PBE).

Crystal structure
Lattice parameters (Å, degrees): 6.804 6.804 6.804 120.61 118.58 90.71
Sites, in units of the cell vectors:
1 Pu 0.000 0.000 0.000
2 Pu 0.500 0.000 0.500
3 Cd 0.500 0.000 0.000
4 Cd 0.500 0.500 0.500
5 Ag 0.117 0.367 0.750
6 Ag 0.883 0.633 0.250
7 O 0.242 0.217 0.025
8 O 0.247 0.200 0.454
9 O 0.247 0.793 0.046
10 O 0.307 0.783 0.525
11 O 0.693 0.217 0.475
12 O 0.753 0.207 0.954
13 O 0.753 0.800 0.546
14 O 0.758 0.783 0.975

Most intense lines, 2θ = 10–90°, by angle:
16.09 deg, intensity 73; 30.41 deg, intensity 100; 30.91 deg, intensity 57; 31.03 deg, intensity 50; 31.84 deg, intensity 41; 32.50 deg, intensity 35; 37.16 deg, intensity 27; 49.22 deg, intensity 32; 49.58 deg, intensity 26; 53.92 deg, intensity 53


[7]
# YBiC
Theoretical powder XRD pattern, Cu Kα. Input: DFT lattice parameters and positions (PBE).

Crystal structure
Lattice parameters (Å, degrees): 9.059 9.059 9.059 153.67 152.11 38.73
Sites, in units of the cell vectors:
1 Y 0.110 0.110 0.000
2 Y 0.890 0.890 0.000
3 Bi 0.310 0.310 0.000
4 Bi 0.690 0.690 0.000
5 C 0.356 0.000 0.356
6 C 0.644 0.000 0.644

Most intense lines, 2θ = 10–90°, by angle:
10.35 deg, intensity 91; 25.70 deg, intensity 31; 26.67 deg, intensity 37; 29.79 deg, intensity 100; 31.61 deg, intensity 40; 33.28 deg, intensity 74; 34.05 deg, intensity 62; 43.86 deg, intensity 25; 54.61 deg, intensity 36; 56.16 deg, intensity 33


[8]
# CeZr2Tl
Theoretical powder XRD pattern, Cu Kα. Input: DFT lattice parameters and positions (PBE).

Crystal structure
Lattice parameters (Å, degrees): 4.727 4.727 4.300 90.00 90.00 90.00
Sites, in units of the cell vectors:
1 Ce 0.000 0.000 0.000
2 Zr 0.000 0.500 0.500
3 Zr 0.500 0.000 0.500
4 Tl 0.500 0.500 0.000

Most intense lines, 2θ = 10–90°, by angle:
20.65 deg, intensity 7; 26.67 deg, intensity 8; 33.97 deg, intensity 100; 38.08 deg, intensity 37; 42.02 deg, intensity 14; 54.94 deg, intensity 13; 57.99 deg, intensity 21; 66.19 deg, intensity 29; 71.50 deg, intensity 11; 71.63 deg, intensity 11